# 1
For KCeW2O8, a crystal structure in the Materials Project, relaxed with GGA+U gives the theoretical powder XRD pattern in this record (a wavelength of 1.5418 Å).
Kinematic intensities with the Lorentz-polarization factor, no thermal factor.

Atomic structure:
```
data_KCeW2O8
_chemical_formula_sum 'K4 Ce4 W8 O32'
_cell_length_a 10.407
_cell_length_b 10.964
_cell_length_c 7.642
_cell_angle_alpha 90.00
_cell_angle_beta 125.82
_cell_angle_gamma 90.00
_space_group_name_H-M_alt 'C 1 2/m 1'
_space_group_IT_number 12
_space_group_name_Hall '-C 2y'
loop_
_atom_site_label
_atom_site_fract_x
_atom_site_fract_y
_atom_site_fract_z
K1 0.189 0.000 0.028
Ce1 0.000 0.201 0.500
W1 0.000 0.339 0.000
W2 0.205 0.500 0.443
O1 0.017 0.500 0.845
O2 0.047 0.238 0.855
O3 0.073 0.000 0.389
O4 0.167 0.373 0.563
O5 0.220 0.374 0.241
```

Top 6 peaks for 5° ≤ 2θ ≤ 70°, by intensity:
two_theta, d_spacing, I_rel
28.81, 3.099, 100
26.66, 3.344, 66
14.29, 6.199, 54
27.13, 3.287, 36
33.20, 2.698, 31
17.16, 5.168, 31

***

# 2
For Sr3Fe2MoO9, a crystal structure in the Materials Project, relaxed with GGA+U gives the theoretical powder XRD pattern in this record (a wavelength of 1.5418 Å).
Kinematic intensities with the Lorentz-polarization factor, no thermal factor.

Atomic structure:
```
data_Sr3Fe2MoO9
_chemical_formula_sum 'Sr12 Fe8 Mo4 O36'
_cell_length_a 17.834
_cell_length_b 8.009
_cell_length_c 5.630
_cell_angle_alpha 90.00
_cell_angle_beta 108.37
_cell_angle_gamma 90.00
_space_group_name_H-M_alt 'C 1 2/m 1'
_space_group_IT_number 12
_space_group_name_Hall '-C 2y'
loop_
_atom_site_label
_atom_site_fract_x
_atom_site_fract_y
_atom_site_fract_z
Sr1 0.000 0.233 0.000
Sr2 0.158 0.241 0.656
Fe1 0.000 0.000 0.500
Fe2 0.000 0.500 0.500
Fe3 0.165 0.000 0.164
Mo1 0.168 0.500 0.166
O1 0.000 0.256 0.500
O2 0.079 0.000 0.309
O3 0.079 0.500 0.860
O4 0.093 0.000 0.823
O5 0.094 0.500 0.357
O6 0.169 0.257 0.169
O7 0.239 0.500 0.967
O8 0.245 0.000 0.523
```

Top 6 peaks for 5° ≤ 2θ ≤ 70°, by intensity:
two_theta, d_spacing, I_rel
31.68, 2.824, 100
45.52, 1.993, 29
56.50, 1.629, 22
31.79, 2.815, 21
66.16, 1.412, 16
56.37, 1.632, 15

***

# 3
For LuVO2, a crystal structure in the Materials Project, relaxed with GGA+U gives the theoretical powder XRD pattern in this record (a wavelength of 1.5418 Å).
Kinematic intensities with the Lorentz-polarization factor, no thermal factor.

Atomic structure:
```
data_LuVO2
_chemical_formula_sum 'Lu8 V8 O16'
_cell_length_a 6.117
_cell_length_b 6.117
_cell_length_c 11.327
_cell_angle_alpha 90.00
_cell_angle_beta 90.00
_cell_angle_gamma 90.00
_space_group_name_H-M_alt 'I 41/a m d'
_space_group_IT_number 141
loop_
_space_group_symop_operation_xyz
'x,y,z'
'-x,-y,-z'
'-y+1/4,x+3/4,z+1/4'
'y+1/4,-x+3/4,-z+1/4'
'-x+1/2,-y,z+1/2'
'x+1/2,y,-z+1/2'
'y+1/4,-x+1/4,z+3/4'
'-y+1/4,x+1/4,-z+3/4'
'x,-y,-z'
'-x,y,z'
'-y+1/4,-x+1/4,-z+3/4'
'y+1/4,x+1/4,z+3/4'
'-x+1/2,y,-z+1/2'
'x+1/2,-y,z+1/2'
'y+1/4,x+3/4,-z+1/4'
'-y+1/4,-x+3/4,z+1/4'
'x+1/2,y+1/2,z+1/2'
'-x+1/2,-y+1/2,-z+1/2'
'-y+3/4,x+1/4,z+3/4'
'y+3/4,-x+1/4,-z+3/4'
'-x,-y+1/2,z'
'x,y+1/2,-z'
'y+3/4,-x+3/4,z+1/4'
'-y+3/4,x+3/4,-z+1/4'
'x+1/2,-y+1/2,-z+1/2'
'-x+1/2,y+1/2,z+1/2'
'-y+3/4,-x+3/4,-z+1/4'
'y+3/4,x+3/4,z+1/4'
'-x,y+1/2,-z'
'x,-y+1/2,z'
'y+3/4,x+1/4,-z+3/4'
'-y+3/4,-x+1/4,z+3/4'
loop_
_atom_site_label
_atom_site_fract_x
_atom_site_fract_y
_atom_site_fract_z
Lu1 0.000 0.000 0.000
V1 0.000 0.000 0.500
O1 0.000 0.008 0.201
```

Top 6 peaks for 5° ≤ 2θ ≤ 70°, by intensity:
two_theta, d_spacing, I_rel
33.29, 2.691, 100
16.47, 5.382, 60
41.77, 2.163, 45
31.59, 2.832, 41
53.30, 1.719, 37
57.36, 1.606, 29

***

# 4
For Fe7O8, a crystal structure in the Materials Project, relaxed with GGA+U gives the theoretical powder XRD pattern in this record (a wavelength of 1.5418 Å).
Kinematic intensities with the Lorentz-polarization factor, no thermal factor.

Atomic structure:
```
data_Fe7O8
_chemical_formula_sum 'Fe14 O16'
_cell_length_a 6.087
_cell_length_b 6.163
_cell_length_c 10.732
_cell_angle_alpha 73.79
_cell_angle_beta 73.64
_cell_angle_gamma 60.66
_space_group_name_H-M_alt 'P -1'
_space_group_IT_number 2
_space_group_name_Hall '-P 1'
loop_
_atom_site_label
_atom_site_fract_x
_atom_site_fract_y
_atom_site_fract_z
Fe1 0.000 0.000 0.000
Fe2 0.000 0.000 0.500
Fe3 0.000 0.500 0.000
Fe4 0.000 0.500 0.500
Fe5 0.240 0.256 0.252
Fe6 0.251 0.758 0.750
Fe7 0.258 0.749 0.248
Fe8 0.500 0.000 0.000
Fe9 0.500 0.000 0.500
Fe10 0.500 0.500 0.000
Fe11 0.500 0.500 0.500
O1 0.117 0.146 0.119
O2 0.124 0.659 0.620
O3 0.129 0.127 0.608
O4 0.146 0.620 0.116
O5 0.354 0.886 0.384
O6 0.365 0.379 0.891
O7 0.379 0.355 0.382
O8 0.385 0.844 0.881
```

Top 6 peaks for 5° ≤ 2θ ≤ 70°, by intensity:
two_theta, d_spacing, I_rel
41.02, 2.200, 100
41.52, 2.175, 97
41.67, 2.167, 96
59.74, 1.548, 84
35.88, 2.503, 83
35.38, 2.537, 44

***

# 5
For KPrDyFeO6, a crystal structure in the Materials Project, relaxed with GGA+U gives the theoretical powder XRD pattern in this record (a wavelength of 1.5418 Å).
Kinematic intensities with the Lorentz-polarization factor, no thermal factor.

Atomic structure:
```
data_KPrDyFeO6
_chemical_formula_sum 'K4 Pr4 Dy4 Fe4 O24'
_cell_length_a 8.089
_cell_length_b 8.089
_cell_length_c 8.089
_cell_angle_alpha 90.00
_cell_angle_beta 90.00
_cell_angle_gamma 90.00
_space_group_name_H-M_alt 'F -4 3 m'
_space_group_IT_number 216
_space_group_name_Hall 'F -4 2 3'
loop_
_atom_site_label
_atom_site_fract_x
_atom_site_fract_y
_atom_site_fract_z
K1 0.000 0.000 0.000
Pr1 0.000 0.000 0.500
Dy1 0.250 0.250 0.750
Fe1 0.250 0.250 0.250
O1 0.019 0.250 0.250
```

Top 6 peaks for 5° ≤ 2θ ≤ 70°, by intensity:
two_theta, d_spacing, I_rel
31.28, 2.860, 100
55.67, 1.651, 38
44.82, 2.022, 32
19.00, 4.670, 28
36.85, 2.439, 20
65.25, 1.430, 19

***

# 6
For Li7Mn5O12, a crystal structure in the Materials Project, relaxed with GGA+U gives the theoretical powder XRD pattern in this record (a wavelength of 1.5418 Å).
Kinematic intensities with the Lorentz-polarization factor, no thermal factor.

Atomic structure:
```
data_Li7Mn5O12
_chemical_formula_sum 'Li14 Mn10 O24'
_cell_length_a 6.936
_cell_length_b 7.638
_cell_length_c 9.800
_cell_angle_alpha 72.88
_cell_angle_beta 75.83
_cell_angle_gamma 64.60
_space_group_name_H-M_alt 'P 1'
_space_group_IT_number 1
_space_group_name_Hall 'P 1'
loop_
_atom_site_label
_atom_site_fract_x
_atom_site_fract_y
_atom_site_fract_z
Li1 0.000 0.000 0.000
Li2 0.036 0.788 0.539
Li3 0.073 0.575 0.078
Li4 0.144 0.165 0.162
Li5 0.242 0.741 0.262
Li6 0.345 0.323 0.332
Li7 0.427 0.913 0.419
Li8 0.476 0.511 0.492
Li9 0.537 0.288 0.039
Li10 0.598 0.064 0.586
Li11 0.648 0.662 0.659
Li12 0.729 0.253 0.746
Li13 0.831 0.834 0.816
Li14 0.929 0.411 0.916
Mn1 0.130 0.373 0.621
Mn2 0.195 0.954 0.703
Mn3 0.287 0.539 0.789
Mn4 0.380 0.119 0.876
Mn5 0.453 0.702 0.955
Mn6 0.619 0.874 0.123
Mn7 0.694 0.457 0.202
Mn8 0.787 0.037 0.288
Mn9 0.879 0.621 0.375
Mn10 0.945 0.203 0.458
O1 0.018 0.581 0.731
O2 0.055 0.996 0.348
O3 0.099 0.174 0.807
O4 0.141 0.764 0.880
O5 0.184 0.542 0.443
O6 0.235 0.348 0.964
O7 0.260 0.138 0.531
O8 0.311 0.939 0.044
O9 0.342 0.723 0.616
O10 0.423 0.522 0.139
O11 0.434 0.308 0.704
O12 0.512 0.895 0.782
O13 0.514 0.080 0.230
O14 0.560 0.495 0.848
O15 0.561 0.681 0.295
O16 0.639 0.268 0.374
O17 0.650 0.053 0.939
O18 0.732 0.852 0.462
O19 0.762 0.636 0.034
O20 0.814 0.438 0.547
O21 0.838 0.228 0.114
O22 0.890 0.034 0.635
O23 0.933 0.811 0.198
O24 0.974 0.401 0.272
```

Top 6 peaks for 5° ≤ 2θ ≤ 70°, by intensity:
two_theta, d_spacing, I_rel
18.26, 4.859, 100
40.80, 2.212, 34
44.15, 2.051, 28
44.44, 2.039, 27
34.05, 2.633, 16
61.84, 1.500, 16

***

# 7
For Mg14VZnO16, a crystal structure in the Materials Project, relaxed with GGA+U gives the theoretical powder XRD pattern in this record (a wavelength of 1.5418 Å).
Kinematic intensities with the Lorentz-polarization factor, no thermal factor.

Atomic structure:
```
data_Mg14VZnO16
_chemical_formula_sum 'Mg14 V1 Zn1 O16'
_cell_length_a 8.549
_cell_length_b 8.549
_cell_length_c 4.282
_cell_angle_alpha 90.00
_cell_angle_beta 90.00
_cell_angle_gamma 90.00
_space_group_name_H-M_alt 'P 4/m m m'
_space_group_IT_number 123
_space_group_name_Hall '-P 4 2'
loop_
_atom_site_label
_atom_site_fract_x
_atom_site_fract_y
_atom_site_fract_z
Mg1 0.000 0.250 0.000
Mg2 0.000 0.500 0.500
Mg3 0.249 0.500 0.000
Mg4 0.250 0.250 0.500
V1 0.500 0.500 0.500
Zn1 0.000 0.000 0.500
O1 0.000 0.000 0.000
O2 0.000 0.253 0.500
O3 0.000 0.500 0.000
O4 0.245 0.500 0.500
O5 0.250 0.250 0.000
O6 0.500 0.500 0.000
```

Top 6 peaks for 5° ≤ 2θ ≤ 70°, by intensity:
two_theta, d_spacing, I_rel
42.26, 2.139, 100
61.30, 1.512, 57
36.38, 2.469, 18
14.65, 6.045, 8
20.77, 4.277, 6
29.54, 3.024, 5

***

# 8
For Cs4FeMo3O12, a crystal structure in the Materials Project, relaxed with GGA+U gives the theoretical powder XRD pattern in this record (a wavelength of 1.5418 Å).
Kinematic intensities with the Lorentz-polarization factor, no thermal factor.

Atomic structure:
```
data_Cs4FeMo3O12
_chemical_formula_sum 'Cs16 Fe4 Mo12 O48'
_cell_length_a 6.380
_cell_length_b 11.065
_cell_length_c 24.815
_cell_angle_alpha 90.00
_cell_angle_beta 90.26
_cell_angle_gamma 90.00
_space_group_name_H-M_alt 'C 1 c 1'
_space_group_IT_number 9
_space_group_name_Hall 'C -2yc'
loop_
_atom_site_label
_atom_site_fract_x
_atom_site_fract_y
_atom_site_fract_z
Cs1 0.000 0.167 0.000
Cs2 0.000 0.167 0.195
Cs3 0.000 0.167 0.634
Cs4 0.001 0.167 0.822
Fe1 0.494 0.003 0.413
Mo1 0.000 0.166 0.391
Mo2 0.000 0.500 0.069
Mo3 0.000 0.500 0.256
O1 0.000 0.166 0.320
O2 0.002 0.499 0.330
O3 0.003 0.347 0.093
O4 0.003 0.348 0.731
O5 0.226 0.422 0.231
O6 0.228 0.422 0.593
O7 0.268 0.140 0.415
O8 0.269 0.075 0.093
O9 0.270 0.074 0.731
O10 0.328 0.453 0.914
O11 0.408 0.188 0.914
O12 0.499 0.001 0.495
```

Top 6 peaks for 5° ≤ 2θ ≤ 70°, by intensity:
two_theta, d_spacing, I_rel
27.95, 3.192, 100
24.10, 3.693, 75
26.89, 3.315, 29
49.46, 1.843, 23
37.19, 2.417, 20
47.15, 1.927, 14